# Cu2BPd5
Theoretical powder diffractogram, Cu Kα (λ = 1.5418 Å). Input: a structure optimized by DFT (GGA-PBE).
Lines closer than 0.1° are merged.

Top 10 peaks for 2θ = 10–90°, sorted by position:
index  Position (°2θ)  d [Å]  I (rel.)
1 2 1  33.06  2.710  23
1 3 1  39.06  2.306  66
2 0 1  39.91  2.259  41
1 4 0  40.30  2.238  34
2 1 1  40.99  2.202  100
0 4 1  43.08  2.100  60
2 3 0  43.23  2.093  33
0 0 2  44.76  2.025  58
2 3 2  63.98  1.455  20
2 1 3  79.93  1.200  22

Atomic structure:
Unit cell a=5.4440 b=9.8212 c=4.0495 alpha=90.00 beta=90.00 gamma=90.00
Space group Pbam (No. 55)
One atom of each set of equivalent atoms:
Cu  0.1363  0.1508  0.0000
B  0.0000  0.5000  0.5000
Pd  0.0000  0.0000  0.5000
Pd  0.0962  0.7072  0.5000
Pd  0.1783  0.4092  0.0000